Record 1
For Cs2WO4, a GGA+U-relaxed structure gives the computed X-ray diffraction stick pattern in this record (Cu Kα, 1.54184 Å).
No peak broadening, texture or thermal motion is included.

Most intense lines, 2θ = 5–70°, in order of rising 2θ:
2θ (°), I_rel
18.14, 16
24.23, 13
25.25, 36
25.37, 69
25.93, 100
26.28, 58
34.31, 24
36.77, 31
45.50, 18
46.17, 22

Structure:
a = 8.7364 Å, b = 6.7828 Å, c = 11.9550 Å
α = 90.00°, β = 90.00°, γ = 90.00°
Element x y z (fractional)
1 Cs 0.0098 0.2500 0.2090
2 Cs 0.1715 0.7500 0.4201
3 Cs 0.3285 0.2500 0.9201
4 Cs 0.4902 0.7500 0.7090
5 Cs 0.5098 0.2500 0.2910
6 Cs 0.6715 0.7500 0.0799
7 Cs 0.8285 0.2500 0.5799
8 Cs 0.9902 0.7500 0.7910
9 W 0.2262 0.7500 0.0806
10 W 0.2738 0.2500 0.5806
11 W 0.7262 0.7500 0.4194
12 W 0.7738 0.2500 0.9194
13 O 0.0187 0.7500 0.0821
14 O 0.2015 0.0298 0.6498
15 O 0.2015 0.4702 0.6498
16 O 0.2056 0.2500 0.4363
17 O 0.2944 0.7500 0.9363
18 O 0.2985 0.5298 0.1498
19 O 0.2985 0.9702 0.1498
20 O 0.4813 0.2500 0.5821
21 O 0.5187 0.7500 0.4179
22 O 0.7015 0.0298 0.8502
23 O 0.7015 0.4702 0.8502
24 O 0.7056 0.2500 0.0637
25 O 0.7944 0.7500 0.5637
26 O 0.7985 0.5298 0.3502
27 O 0.7985 0.9702 0.3502
28 O 0.9813 0.2500 0.9179

Record 2
For Li2FePCO7, a GGA+U-relaxed structure gives the computed X-ray diffraction stick pattern in this record (Cu Kα, 1.54184 Å).
No peak broadening, texture or thermal motion is included.

Most intense lines, 2θ = 5–70°, in order of rising 2θ:
2θ (°), I_rel
10.54, 100
16.52, 19
18.52, 17
19.68, 26
21.35, 39
24.17, 16
26.35, 28
28.19, 55
28.90, 15
33.45, 17

Structure:
a = 5.0799 Å, b = 10.0325 Å, c = 11.1678 Å
α = 73.91°, β = 88.43°, γ = 83.65°
Element x y z (fractional)
1 Li 0.0000 0.0000 0.0000
2 Li 0.0123 0.7928 0.4752
3 Li 0.4826 0.2325 0.2004
4 Li 0.5052 0.7246 0.7030
5 Li 0.5962 0.4453 0.9594
6 Li 0.8407 0.2153 0.7429
7 Li 0.8692 0.7270 0.1942
8 Li 0.9646 0.4253 0.5082
9 Fe 0.0319 0.1155 0.4066
10 Fe 0.0377 0.6197 0.9082
11 Fe 0.4132 0.0312 0.8053
12 Fe 0.4177 0.5333 0.3102
13 P 0.4987 0.2357 0.5214
14 P 0.4996 0.7370 0.0242
15 P 0.9478 0.9145 0.6944
16 P 0.9493 0.4150 0.1902
17 C 0.4689 0.1783 0.9524
18 C 0.5465 0.6638 0.4616
19 C 0.9137 0.9898 0.2527
20 C 0.9637 0.4798 0.7594
21 O 0.0503 0.0331 0.7401
22 O 0.0668 0.5332 0.2318
23 O 0.1153 0.2746 0.2495
24 O 0.1192 0.7742 0.7525
25 O 0.1308 0.9600 0.3212
26 O 0.1950 0.4882 0.8012
27 O 0.2374 0.1552 0.9199
28 O 0.2985 0.6627 0.4337
29 O 0.3395 0.8784 0.9624
30 O 0.3410 0.3813 0.4650
31 O 0.3784 0.1256 0.4744
32 O 0.3916 0.6197 0.9786
33 O 0.4813 0.7044 0.1682
34 O 0.4909 0.1989 0.6661
35 O 0.5065 0.2558 0.0206
36 O 0.6276 0.7284 0.5331
37 O 0.6537 0.4068 0.2330
38 O 0.6541 0.8998 0.7361
39 O 0.6704 0.1130 0.9044
40 O 0.7162 0.5907 0.4049
41 O 0.7456 0.0849 0.2791
42 O 0.7665 0.5548 0.8022
43 O 0.7971 0.2448 0.4840
44 O 0.7999 0.7417 0.9912
45 O 0.8765 0.9274 0.1703
46 O 0.9185 0.4078 0.6868
47 O 0.9493 0.4498 0.0461
48 O 0.9685 0.9464 0.5519

Record 3
For KSmFe4O12, a GGA+U-relaxed structure gives the computed X-ray diffraction stick pattern in this record (Cu Kα, 1.54184 Å).
No peak broadening, texture or thermal motion is included.

Most intense lines, 2θ = 5–70°, in order of rising 2θ:
2θ (°), I_rel
11.55, 20
16.30, 20
20.02, 67
32.98, 100
38.85, 23
47.28, 33
47.45, 16
51.89, 15
58.86, 25
69.23, 17

Structure:
a = 7.6636 Å, b = 5.4378 Å, c = 5.4378 Å
α = 89.95°, β = 90.00°, γ = 90.00°
Element x y z (fractional)
1 K 0.0000 0.0000 0.0000
2 Sm 0.5000 0.5104 0.5104
3 Fe 0.2460 0.0037 0.5012
4 Fe 0.2460 0.5012 0.0037
5 Fe 0.7540 0.0037 0.5012
6 Fe 0.7540 0.5012 0.0037
7 O 0.0000 0.0129 0.4952
8 O 0.0000 0.4952 0.0129
9 O 0.2531 0.7378 0.7378
10 O 0.2677 0.2610 0.7429
11 O 0.2677 0.7429 0.2610
12 O 0.2795 0.2671 0.2671
13 O 0.5000 0.5145 0.9768
14 O 0.5000 0.9768 0.5145
15 O 0.7205 0.2671 0.2671
16 O 0.7323 0.2610 0.7429
17 O 0.7323 0.7429 0.2610
18 O 0.7469 0.7378 0.7378